1.
# GaAu5
Theoretical PXRD pattern, Cu Kα. Input: a crystal structure in Alexandria, relaxed with GGA-PBE.
Kinematic intensities with the Lorentz-polarization factor, no thermal factor.

Peak list (10 most intense, 10 to 80 degrees two-theta, by intensity)
hkl 1 3 -1, 2θ 36.9, rel. 100.0; hkl 1 3 1, 2θ 43.6, rel. 58.8; hkl 2 0 0, 2θ 38.7, rel. 44.1; hkl 0 0 2, 2θ 37.3, rel. 43.7; hkl 2 0 -2, 2θ 43.4, rel. 29.4; hkl 2 6 0, 2θ 75.4, rel. 21.7; hkl 1 3 -3, 2θ 62.3, rel. 17.9; hkl 3 3 -1, 2θ 64.2, rel. 17.0; hkl 0 6 2, 2θ 74.5, rel. 11.7; hkl 0 6 0, 2θ 61.9, rel. 11.4

Atomic structure:
```
data_GaAu5
_chemical_formula_sum 'Ga2 Au10'
_cell_length_a 4.9782
_cell_length_b 8.9944
_cell_length_c 5.1555
_cell_angle_alpha 90.00
_cell_angle_beta 110.72
_cell_angle_gamma 90.00
_symmetry_space_group_name_H-M 'P 1 21/m 1'
_symmetry_Int_Tables_number 11
loop_
_symmetry_equiv_pos_as_xyz
'x,y,z'
'-x,-y,-z'
'-x,y+1/2,-z'
'x,-y+1/2,z'
loop_
_atom_site_label
_atom_site_type_symbol
_atom_site_fract_x
_atom_site_fract_y
_atom_site_fract_z
Ga1 Ga 0.0118 0.2500 0.2850
Au1 Au 0.0219 0.0838 0.7485
Au2 Au 0.4488 0.7500 0.1896
Au3 Au 0.4837 0.0897 0.2693
```


2.
# Ta2TiSe4S2
Theoretical PXRD pattern, Cu Kα. Input: a crystal structure in Alexandria, relaxed with GGA-PBE.
Kinematic intensities with the Lorentz-polarization factor, no thermal factor.

Peak list (10 most intense, 10 to 80 degrees two-theta, by intensity)
hkl 0 0 3, 2θ 12.5, rel. 100.0; hkl 1 0 5, 2θ 36.9, rel. 54.2; hkl 0 1 4, 2θ 34.6, rel. 35.6; hkl 0 1 7, 2θ 42.6, rel. 32.4; hkl 1 0 0, 2θ 30.0, rel. 31.1; hkl 1 0 8, 2θ 45.9, rel. 27.5; hkl 1 1 0, 2θ 53.3, rel. 24.1; hkl 0 1 3, 2θ 32.7, rel. 15.6; hkl 1 1 3, 2θ 55.0, rel. 13.8; hkl 1 1 12, 2θ 77.6, rel. 13.0

Atomic structure:
```
data_Ta2TiSe4S2
_chemical_formula_sum 'Ta2 Ti1 Se4 S2'
_cell_length_a 3.4362
_cell_length_b 3.4362
_cell_length_c 21.1656
_cell_angle_alpha 90.00
_cell_angle_beta 90.00
_cell_angle_gamma 120.00
_symmetry_space_group_name_H-M 'P 3 m 1'
_symmetry_Int_Tables_number 156
loop_
_symmetry_equiv_pos_as_xyz
'x,y,z'
'-y,x-y,z'
'-x+y,-x,z'
'-y,-x,z'
'-x+y,y,z'
'x,x-y,z'
loop_
_atom_site_label
_atom_site_type_symbol
_atom_site_fract_x
_atom_site_fract_y
_atom_site_fract_z
Ta1 Ta 0.0000 0.0000 0.0000
Ta2 Ta 0.3333 0.6667 0.3356
Ti1 Ti 0.3333 0.6667 0.6817
Se1 Se 0.0000 0.0000 0.2556
Se2 Se 0.0000 0.0000 0.4154
Se3 Se 0.3333 0.6667 0.0801
Se4 Se 0.3333 0.6667 0.9203
S1 S 0.0000 0.0000 0.6115
S2 S 0.0000 0.0000 0.7520
```


3.
# PmZn5CdAu2
Theoretical PXRD pattern, Cu Kα. Input: a crystal structure in Alexandria, relaxed with GGA-PBE.
Kinematic intensities with the Lorentz-polarization factor, no thermal factor.

Peak list (10 most intense, 10 to 80 degrees two-theta, by intensity)
hkl 2 0 0, 2θ 36.6, rel. 100.0; hkl 1 0 2, 2θ 29.6, rel. 59.4; hkl 1 1 0, 2θ 25.7, rel. 47.1; hkl 2 2 0, 2θ 52.7, rel. 34.6; hkl 1 1 2, 2θ 34.9, rel. 33.9; hkl 2 1 2, 2θ 47.8, rel. 32.1; hkl 1 0 3, 2θ 39.8, rel. 28.9; hkl 1 1 3, 2θ 44.0, rel. 27.6; hkl 2 1 3, 2θ 55.2, rel. 22.1; hkl 1 0 0, 2θ 18.1, rel. 22.0

Atomic structure:
```
data_PmZn5CdAu2
_chemical_formula_sum 'Pm1 Zn5 Cd1 Au2'
_cell_length_a 4.9088
_cell_length_b 4.9088
_cell_length_c 7.6591
_cell_angle_alpha 90.00
_cell_angle_beta 90.00
_cell_angle_gamma 90.00
_symmetry_space_group_name_H-M 'P 4/m m m'
_symmetry_Int_Tables_number 123
_symmetry_space_group_name_Hall '-P 4 2'
loop_
_atom_site_label
_atom_site_type_symbol
_atom_site_fract_x
_atom_site_fract_y
_atom_site_fract_z
Pm1 Pm 0.0000 0.0000 0.0000
Zn1 Zn 0.0000 0.5000 0.2519
Zn2 Zn 0.5000 0.5000 0.0000
Cd1 Cd 0.0000 0.0000 0.5000
Au1 Au 0.5000 0.5000 0.3262
```


4.
# TaTlReO6
Theoretical PXRD pattern, Cu Kα. Input: a crystal structure in Alexandria, relaxed with GGA-PBE.
Kinematic intensities with the Lorentz-polarization factor, no thermal factor.

Peak list (10 most intense, 10 to 80 degrees two-theta, by intensity)
hkl 1 0 3, 2θ 28.3, rel. 100.0; hkl 2 1 1, 2θ 28.5, rel. 53.9; hkl 2 2 4, 2θ 49.4, rel. 36.9; hkl 0 2 2, 2θ 29.5, rel. 31.4; hkl 2 0 2, 2θ 29.8, rel. 25.5; hkl 1 1 2, 2θ 24.1, rel. 24.6; hkl 3 0 3, 2θ 45.4, rel. 21.1; hkl 0 3 3, 2θ 45.0, rel. 16.8; hkl 2 3 1, 2θ 45.1, rel. 16.3; hkl 0 3 5, 2θ 57.7, rel. 13.0

Atomic structure:
```
data_TaTlReO6
_chemical_formula_sum 'Ta4 Tl4 Re4 O24'
_cell_length_a 7.3114
_cell_length_b 7.4154
_cell_length_c 10.4504
_cell_angle_alpha 90.00
_cell_angle_beta 90.00
_cell_angle_gamma 90.00
_symmetry_space_group_name_H-M 'I m m a'
_symmetry_Int_Tables_number 74
_symmetry_space_group_name_Hall '-I 2b 2'
loop_
_atom_site_label
_atom_site_type_symbol
_atom_site_fract_x
_atom_site_fract_y
_atom_site_fract_z
Ta1 Ta 0.0000 0.0000 0.0000
Tl1 Tl 0.0000 0.2500 0.3693
Re1 Re 0.2500 0.2500 0.7500
O1 O 0.0000 0.2500 0.0654
O2 O 0.0000 0.2500 0.6998
O3 O 0.1958 0.0674 0.8751
```


5.
# Ag2IrPbBr8
Theoretical PXRD pattern, Cu Kα. Input: a crystal structure in Alexandria, relaxed with GGA-PBE.
Kinematic intensities with the Lorentz-polarization factor, no thermal factor.

Peak list (10 most intense, 10 to 80 degrees two-theta, by intensity)
hkl 1 0 0, 2θ 13.8, rel. 100.0; hkl 1 2 1, 2θ 31.2, rel. 93.0; hkl 1 0 -2, 2θ 25.3, rel. 59.2; hkl 2 0 -2, 2θ 30.9, rel. 45.3; hkl 1 2 -3, 2θ 43.8, rel. 32.1; hkl 3 2 -1, 2θ 45.2, rel. 30.1; hkl 2 0 2, 2θ 46.0, rel. 22.2; hkl 2 2 1, 2θ 41.6, rel. 20.0; hkl 2 2 -1, 2θ 34.0, rel. 16.0; hkl 0 4 0, 2θ 43.5, rel. 15.2

Atomic structure:
```
data_Ag2IrPbBr8
_chemical_formula_sum 'Ag2 Ir1 Pb1 Br8'
_cell_length_a 6.8687
_cell_length_b 8.3291
_cell_length_c 7.1367
_cell_angle_alpha 90.00
_cell_angle_beta 111.40
_cell_angle_gamma 90.00
_symmetry_space_group_name_H-M 'P 1 2/m 1'
_symmetry_Int_Tables_number 10
loop_
_symmetry_equiv_pos_as_xyz
'x,y,z'
'-x,-y,-z'
'-x,y,-z'
'x,-y,z'
loop_
_atom_site_label
_atom_site_type_symbol
_atom_site_fract_x
_atom_site_fract_y
_atom_site_fract_z
Ag1 Ag 0.0000 0.2444 0.0000
Ir1 Ir 0.0000 0.5000 0.5000
Pb1 Pb 0.0000 0.0000 0.5000
Br1 Br 0.1958 0.5000 0.2683
Br2 Br 0.2458 0.2926 0.7188
Br3 Br 0.2498 0.0000 0.2260
```